Starting from a GGA-PBE-relaxed structure, the powder XRD pattern of LaTlTe4 was computed for λ = 1.5418 Å (Cu Kα).

Principal peaks in the range 10° ≤ 2θ ≤ 90°, by angle:
2θ 27.02, 3.300 Å, intensity 100, hkl 1 1 2; 2θ 30.38, 2.942 Å, intensity 77, hkl 2 1 1; 2θ 32.65, 2.742 Å, intensity 45, hkl 2 0 2; 2θ 40.93, 2.205 Å, intensity 47, hkl 3 1 0; 2θ 42.08, 2.147 Å, intensity 25, hkl 2 1 3; 2θ 56.73, 1.623 Å, intensity 27, hkl 4 0 2; 2θ 59.03, 1.565 Å, intensity 26, hkl 3 1 4; 2θ 60.02, 1.541 Å, intensity 21, hkl 3 3 2

Structural model:
```
data_LaTlTe4
_symmetry_space_group_name_H-M 'P 4/n b m'
_symmetry_Int_Tables_number 125
_cell_length_a 6.973
_cell_length_b 6.973
_cell_length_c 8.884
_cell_angle_alpha 90.00
_cell_angle_beta 90.00
_cell_angle_gamma 90.00
loop_
_symmetry_equiv_pos_as_xyz
'x,y,z'
'-x,-y,-z'
'-y+1/2,x,z'
'y+1/2,-x,-z'
'-x+1/2,-y+1/2,z'
'x+1/2,y+1/2,-z'
'y,-x+1/2,z'
'-y,x+1/2,-z'
'x,-y+1/2,-z'
'-x,y+1/2,z'
'-y+1/2,-x+1/2,-z'
'y+1/2,x+1/2,z'
'-x+1/2,y,-z'
'x+1/2,-y,z'
'y,x,-z'
'-y,-x,z'
loop_
_atom_site_label
_atom_site_type_symbol
_atom_site_fract_x
_atom_site_fract_y
_atom_site_fract_z
La1 La 0.250 0.250 0.000
Tl1 Tl 0.250 0.250 0.500
Te1 Te 0.107 0.607 0.223
```

=====

Starting from a GGA-PBE-relaxed structure, the powder XRD pattern of La4TlTe was computed for λ = 1.5418 Å (Cu Kα).

Principal peaks in the range 10° ≤ 2θ ≤ 90°, by angle:
2θ 27.03, 3.298 Å, intensity 44, hkl 1 1 4; 2θ 27.34, 3.262 Å, intensity 35, hkl 0 1 5; 2θ 29.44, 3.034 Å, intensity 85, hkl 2 1 0; 2θ 30.73, 2.909 Å, intensity 55, hkl 1 0 7; 2θ 31.93, 2.803 Å, intensity 100, hkl 2 1 3; 2θ 35.96, 2.498 Å, intensity 69, hkl 1 1 7; 2θ 36.91, 2.435 Å, intensity 59, hkl 0 2 0; 2θ 38.48, 2.339 Å, intensity 39, hkl 3 0 4

Structural model:
```
data_La4TlTe
_symmetry_space_group_name_H-M 'P n m a'
_symmetry_Int_Tables_number 62
_cell_length_a 7.758
_cell_length_b 4.870
_cell_length_c 21.972
_cell_angle_alpha 90.00
_cell_angle_beta 90.00
_cell_angle_gamma 90.00
loop_
_symmetry_equiv_pos_as_xyz
'x,y,z'
'-x,-y,-z'
'-x+1/2,-y,z+1/2'
'x+1/2,y,-z+1/2'
'x+1/2,-y+1/2,-z+1/2'
'-x+1/2,y+1/2,z+1/2'
'-x,y+1/2,-z'
'x,-y+1/2,z'
loop_
_atom_site_label
_atom_site_type_symbol
_atom_site_fract_x
_atom_site_fract_y
_atom_site_fract_z
La1 La 0.063 0.250 0.077
La2 La 0.073 0.250 0.784
La3 La 0.074 0.250 0.360
La4 La 0.151 0.250 0.538
Tl1 Tl 0.219 0.250 0.933
Te1 Te 0.211 0.250 0.218
```